Entry 1:
The following is a theoretical PXRD pattern of Sm2Ho8Cd. It was derived from a cell relaxed with PBE, using CuKα.
Kinematic intensities with the Lorentz-polarization factor, no thermal factor.

Crystal structure
abc: 19.2876 5.5359 6.4072
angles: 90.00 95.02 90.00
Space group C2/m (No. 12)
One atom of each set of equivalent atoms:
1 Sm 0.2431 0.0000 0.3320
2 Ho 0.0438 0.0000 0.2642
3 Ho 0.0781 0.5000 0.5992
4 Ho 0.1528 0.0000 0.8074
5 Ho 0.1593 0.5000 0.1230
6 Cd 0.0000 0.5000 0.0000

The 8 most intense peaks (10 to 80 degrees two-theta), low angle first:
- (6 0 -1), 30.1 deg, intensity 26
- (5 1 -1), 30.7 deg, intensity 19
- (0 2 0), 32.4 deg, intensity 100
- (5 1 1), 32.5 deg, intensity 67
- (6 2 -1), 44.8 deg, intensity 17
- (1 3 -2), 57.7 deg, intensity 14
- (5 3 1), 57.8 deg, intensity 13
- (4 2 3), 59.3 deg, intensity 12

=====

Entry 2:
The following is a theoretical PXRD pattern of AsH6Pd8. It was derived from a cell relaxed with PBE, using CuKα.
Kinematic intensities with the Lorentz-polarization factor, no thermal factor.

Crystal structure
abc: 8.0323 8.0323 8.5702
angles: 90.00 90.00 120.00
Space group R-3 (No. 148, hexagonal axes)
One atom of each set of equivalent atoms:
1 As 0.0000 0.0000 0.0000
2 H 0.0429 0.8087 0.6165
3 Pd 0.0000 0.0000 0.3093
4 Pd 0.0264 0.6406 0.7730

The 8 most intense peaks (10 to 80 degrees two-theta), low angle first:
- (2 0 2), 33.2 deg, intensity 13
- (3 -1 1), 35.7 deg, intensity 18
- (1 1 3), 38.7 deg, intensity 100
- (3 0 0), 38.8 deg, intensity 83
- (3 -2 2), 40.2 deg, intensity 11
- (4 -2 3), 56.0 deg, intensity 23
- (2 -1 6), 69.9 deg, intensity 14
- (4 1 3), 70.2 deg, intensity 16

=====

Entry 3:
The following is a theoretical PXRD pattern of SmY2Ho12. It was derived from a cell relaxed with PBE, using CuKα.
Kinematic intensities with the Lorentz-polarization factor, no thermal factor.

Crystal structure
abc: 7.1119 11.1079 24.2237
angles: 90.00 94.20 90.00
Space group C2/m (No. 12)
One atom of each set of equivalent atoms:
1 Sm 0.2501 0.0000 0.0005
2 Y 0.0660 0.0000 0.2724
3 Y 0.0668 0.5000 0.2724
4 Ho 0.0171 0.2499 0.0749
5 Ho 0.1118 0.2501 0.4451
6 Ho 0.1429 0.0000 0.5742
7 Ho 0.1431 0.5000 0.5740
8 Ho 0.1682 0.2504 0.6691
9 Ho 0.2018 0.2491 0.7980
10 Ho 0.2172 0.0000 0.8626
11 Ho 0.2169 0.5000 0.8615

The 8 most intense peaks (10 to 80 degrees two-theta), low angle first:
- (2 2 1), 30.4 deg, intensity 44
- (0 2 7), 30.5 deg, intensity 91
- (2 2 2), 31.3 deg, intensity 66
- (0 4 0), 32.2 deg, intensity 100
- (2 0 -6), 32.4 deg, intensity 49
- (2 2 -4), 32.6 deg, intensity 89
- (0 2 8), 33.8 deg, intensity 50
- (2 4 -6), 46.3 deg, intensity 37

=====

Entry 4:
The following is a theoretical PXRD pattern of YErMgZr. It was derived from a cell relaxed with PBE, using CuKα.
Kinematic intensities with the Lorentz-polarization factor, no thermal factor.

Crystal structure
abc: 7.5582 7.5582 7.5582
angles: 90.00 90.00 90.00
Space group F-43m (No. 216)
One atom of each set of equivalent atoms:
1 Y 0.0000 0.0000 0.0000
2 Er 0.0000 0.0000 0.5000
3 Mg 0.2500 0.2500 0.2500
4 Zr 0.2500 0.2500 0.7500

The 8 most intense peaks (10 to 80 degrees two-theta), low angle first:
- (1 1 1), 20.4 deg, intensity 16
- (2 0 0), 23.5 deg, intensity 16
- (2 2 0), 33.5 deg, intensity 100
- (3 1 1), 39.5 deg, intensity 9
- (4 0 0), 48.2 deg, intensity 18
- (4 2 0), 54.3 deg, intensity 7
- (4 2 2), 60.0 deg, intensity 37
- (4 4 0), 70.5 deg, intensity 11

=====

Entry 5:
The following is a theoretical PXRD pattern of BaCdInHg3. It was derived from a cell relaxed with PBE, using CuKα.
Kinematic intensities with the Lorentz-polarization factor, no thermal factor.

Crystal structure
abc: 6.9936 14.9925 7.1690
angles: 90.00 90.00 90.00
Space group Cmcm (No. 63)
One atom of each set of equivalent atoms:
1 Ba 0.0000 0.1815 0.2500
2 Cd 0.0000 0.4074 0.2500
3 In 0.0000 0.1410 0.7500
4 Hg 0.0000 0.3593 0.7500
5 Hg 0.2232 0.0000 0.0000

The 8 most intense peaks (10 to 80 degrees two-theta), low angle first:
- (0 2 0), 11.8 deg, intensity 55
- (0 2 2), 27.6 deg, intensity 47
- (2 2 0), 28.2 deg, intensity 41
- (0 4 2), 34.6 deg, intensity 65
- (2 4 0), 35.1 deg, intensity 59
- (2 0 2), 35.9 deg, intensity 100
- (2 6 2), 51.7 deg, intensity 21
- (2 4 4), 63.4 deg, intensity 22

=====

Entry 6:
The following is a theoretical PXRD pattern of HgRu2Se2. It was derived from a cell relaxed with PBE, using CuKα.
Kinematic intensities with the Lorentz-polarization factor, no thermal factor.

Crystal structure
abc: 4.0763 4.0763 11.2996
angles: 90.00 90.00 90.00
Space group I4/mmm (No. 139)
One atom of each set of equivalent atoms:
1 Hg 0.0000 0.0000 0.0000
2 Ru 0.0000 0.0000 0.3827
3 Se 0.0000 0.5000 0.2500

The 8 most intense peaks (10 to 80 degrees two-theta), low angle first:
- (1 1 0), 31.0 deg, intensity 29
- (1 0 3), 32.4 deg, intensity 89
- (1 1 2), 34.9 deg, intensity 100
- (2 0 0), 44.4 deg, intensity 56
- (1 0 5), 45.9 deg, intensity 46
- (2 1 3), 56.0 deg, intensity 38
- (2 1 5), 65.8 deg, intensity 31
- (3 1 2), 75.7 deg, intensity 21

=====

Entry 7:
The following is a theoretical PXRD pattern of Pr4Tm3PuSe8. It was derived from a cell relaxed with PBE, using CuKα.
Kinematic intensities with the Lorentz-polarization factor, no thermal factor.

Crystal structure
abc: 8.2286 8.2286 20.8197
angles: 90.00 90.00 120.00
Space group R-3m (No. 166, hexagonal axes)
One atom of each set of equivalent atoms:
1 Pr 0.0000 0.0000 0.0000
2 Pr 0.0000 0.5000 0.0000
3 Tm 0.0000 0.5000 0.5000
4 Pu 0.0000 0.0000 0.5000
5 Se 0.0000 0.0000 0.2423
6 Se 0.0050 0.5025 0.7563

The 8 most intense peaks (10 to 80 degrees two-theta), low angle first:
- (2 0 2), 26.4 deg, intensity 17
- (0 2 4), 30.4 deg, intensity 100
- (2 0 8), 43.0 deg, intensity 38
- (2 2 0), 44.0 deg, intensity 37
- (4 0 4), 54.4 deg, intensity 19
- (0 4 8), 63.3 deg, intensity 12
- (2 2 12), 71.1 deg, intensity 16
- (2 4 4), 72.5 deg, intensity 16

=====

Entry 8:
The following is a theoretical PXRD pattern of LaNd2YTh. It was derived from a cell relaxed with PBE, using CuKα.
Kinematic intensities with the Lorentz-polarization factor, no thermal factor.

Crystal structure
abc: 8.6944 6.5086 6.4657
angles: 90.00 98.45 90.00
Space group P2/c (No. 13)
One atom of each set of equivalent atoms:
1 La 0.0000 0.0000 0.0000
2 Nd 0.3145 0.3135 0.2011
3 Y 0.5000 0.1698 0.7500
4 Th 0.0000 0.4523 0.7500

The 8 most intense peaks (10 to 80 degrees two-theta), low angle first:
- (1 0 0), 10.3 deg, intensity 47
- (1 2 0), 29.3 deg, intensity 77
- (2 1 1), 30.0 deg, intensity 52
- (3 0 0), 31.2 deg, intensity 100
- (1 1 2), 34.2 deg, intensity 58
- (2 2 0), 34.6 deg, intensity 42
- (2 1 -2), 35.2 deg, intensity 39
- (3 1 -2), 41.5 deg, intensity 38

=====

Entry 9:
The following is a theoretical PXRD pattern of LaPr2In2. It was derived from a cell relaxed with PBE, using CuKα.
Kinematic intensities with the Lorentz-polarization factor, no thermal factor.

Crystal structure
abc: 7.0305 5.2898 9.4751
angles: 90.00 111.70 90.00
Space group P2_1/m (No. 11)
One atom of each set of equivalent atoms:
1 La 0.0864 0.2500 0.1696
2 Pr 0.2696 0.7500 0.5406
3 Pr 0.4520 0.7500 0.9063
4 In 0.1569 0.2500 0.7516
5 In 0.4092 0.7500 0.2505

The 8 most intense peaks (10 to 80 degrees two-theta), low angle first:
- (1 1 1), 26.0 deg, intensity 32
- (2 1 0), 32.2 deg, intensity 100
- (2 0 -3), 32.6 deg, intensity 25
- (1 1 2), 33.1 deg, intensity 23
- (0 2 0), 33.9 deg, intensity 46
- (0 1 3), 35.0 deg, intensity 43
- (2 2 -3), 47.7 deg, intensity 17
- (2 3 0), 59.6 deg, intensity 17

=====

Entry 10:
The following is a theoretical PXRD pattern of LiInGaBr3. It was derived from a cell relaxed with PBE, using CuKα.
Kinematic intensities with the Lorentz-polarization factor, no thermal factor.

Crystal structure
abc: 7.4056 15.1182 7.0439
angles: 90.00 108.70 90.00
Space group C2/c (No. 15)
One atom of each set of equivalent atoms:
1 Li 0.0000 0.0530 0.2500
2 In 0.0000 0.2346 0.7500
3 Ga 0.0000 0.4273 0.2500
4 Br 0.0000 0.2238 0.2500
5 Br 0.2265 0.0605 0.9955

The 8 most intense peaks (10 to 80 degrees two-theta), low angle first:
- (1 3 1), 27.6 deg, intensity 94
- (2 2 0), 28.0 deg, intensity 86
- (0 2 2), 29.3 deg, intensity 80
- (2 0 -2), 30.5 deg, intensity 100
- (0 6 0), 35.6 deg, intensity 35
- (3 3 -1), 40.7 deg, intensity 30
- (2 0 2), 43.0 deg, intensity 37
- (2 6 -2), 47.6 deg, intensity 37

=====

Entry 11:
The following is a theoretical PXRD pattern of Na2TiMn2Se6. It was derived from a cell relaxed with PBE, using CuKα.
Kinematic intensities with the Lorentz-polarization factor, no thermal factor.

Crystal structure
abc: 6.6282 10.9140 7.5145
angles: 90.00 108.69 90.00
Space group C2/m (No. 12)
One atom of each set of equivalent atoms:
1 Na 0.0000 0.1678 0.0000
2 Ti 0.0000 0.0000 0.5000
3 Mn 0.0000 0.3302 0.5000
4 Se 0.2240 0.1673 0.7074
5 Se 0.2279 0.5000 0.6941

The 8 most intense peaks (10 to 80 degrees two-theta), low angle first:
- (0 0 1), 12.4 deg, intensity 83
- (1 3 -1), 29.1 deg, intensity 23
- (2 0 -2), 31.4 deg, intensity 62
- (1 3 1), 32.9 deg, intensity 100
- (1 3 2), 41.2 deg, intensity 24
- (1 3 -3), 43.9 deg, intensity 34
- (3 3 -1), 48.2 deg, intensity 37
- (2 6 -2), 60.4 deg, intensity 18

=====

Entry 12:
The following is a theoretical PXRD pattern of VCuRe2C. It was derived from a cell relaxed with PBE, using CuKα.
Kinematic intensities with the Lorentz-polarization factor, no thermal factor.

Crystal structure
abc: 4.0440 4.0440 3.9464
angles: 90.00 90.00 90.00
Space group P4/mmm (No. 123)
One atom of each set of equivalent atoms:
1 V 0.0000 0.0000 0.0000
2 Cu 0.5000 0.5000 0.0000
3 Re 0.0000 0.5000 0.5000
4 C 0.0000 0.0000 0.5000

The 8 most intense peaks (10 to 80 degrees two-theta), low angle first:
- (0 0 1), 22.5 deg, intensity 30
- (1 1 0), 31.3 deg, intensity 22
- (1 1 1), 38.9 deg, intensity 100
- (2 0 0), 44.8 deg, intensity 36
- (0 0 2), 46.0 deg, intensity 17
- (2 0 1), 50.7 deg, intensity 14
- (2 0 2), 66.2 deg, intensity 22
- (3 1 1), 78.6 deg, intensity 25